# LiMnF3
Computed XRD peak list, copper Kα. Input: a crystal structure in the Materials Project, relaxed with GGA+U.
Neutral-atom scattering factors, no anomalous dispersion.

Peak list (10 most intense, 2θ = 10–80°, by angle)
d (Å), two_theta, I (rel.)
4.390, 20.23, 70
3.584, 24.84, 50
2.777, 32.24, 100
2.535, 35.42, 28
1.963, 46.24, 56
1.872, 48.64, 14
1.792, 50.95, 13
1.722, 53.19, 32
1.659, 55.37, 60
1.355, 69.37, 12

Atomic structure:
```
data_LiMnF3
_chemical_formula_sum 'Li4 Mn4 F12'
_symmetry_space_group_name_H-M 'P 21 3'
_symmetry_Int_Tables_number 198
_symmetry_space_group_name_Hall 'P 2ac 2ab 3'
_cell_length_a 6.2084
_cell_length_b 6.2084
_cell_length_c 6.2084
_cell_angle_alpha 90.00
_cell_angle_beta 90.00
_cell_angle_gamma 90.00
loop_
_atom_site_label
_atom_site_type_symbol
_atom_site_fract_x
_atom_site_fract_y
_atom_site_fract_z
Li1 Li 0.0897 0.0897 0.0897
Mn1 Mn 0.1413 0.6413 0.8587
F1 F 0.0177 0.2679 0.3689
```